Theoretical X-ray diffraction stick pattern
Compound: InSnBi
Radiation: copper Kα
Structure: a structure optimized by DFT (GGA-PBE)
No peak broadening, texture or thermal motion is included.

Structure:
```
data_InSnBi
_symmetry_space_group_name_H-M 'P n m a'
_symmetry_Int_Tables_number 62
_cell_length_a 9.1954
_cell_length_b 3.3952
_cell_length_c 11.4976
_cell_angle_alpha 90.00
_cell_angle_beta 90.00
_cell_angle_gamma 90.00
loop_
_symmetry_equiv_pos_as_xyz
'x,y,z'
'-x,-y,-z'
'-x+1/2,-y,z+1/2'
'x+1/2,y,-z+1/2'
'x+1/2,-y+1/2,-z+1/2'
'-x+1/2,y+1/2,z+1/2'
'-x,y+1/2,-z'
'x,-y+1/2,z'
loop_
_atom_site_label
_atom_site_fract_x
_atom_site_fract_y
_atom_site_fract_z
In1 0.0530 0.2500 0.1412
Sn1 0.1238 0.2500 0.6410
Bi1 0.2178 0.7500 0.4021
```

Peak list (10 most intense, 2θ = 15–90°, sorted by position)
hkl 1 1 1, d = 3.069 Å, rel. 44
hkl 3 0 1, d = 2.962 Å, rel. 39
hkl 0 0 4, d = 2.874 Å, rel. 72
hkl 1 1 2, d = 2.786 Å, rel. 100
hkl 1 0 4, d = 2.743 Å, rel. 27
hkl 3 0 2, d = 2.705 Å, rel. 100
hkl 2 1 1, d = 2.657 Å, rel. 52
hkl 0 1 3, d = 2.541 Å, rel. 29
hkl 2 1 3, d = 2.224 Å, rel. 50
hkl 3 2 2, d = 1.438 Å, rel. 35



Theoretical X-ray diffraction stick pattern
Compound: In12SnBi4
Radiation: copper Kα
Structure: a structure optimized by DFT (GGA-PBE)
No peak broadening, texture or thermal motion is included.

Structure:
```
data_In12SnBi4
_symmetry_space_group_name_H-M 'R -3'
_symmetry_Int_Tables_number 148
_symmetry_space_group_name_Hall '-R 3'
_cell_length_a 14.8970
_cell_length_b 14.8970
_cell_length_c 9.1130
_cell_angle_alpha 90.00
_cell_angle_beta 90.00
_cell_angle_gamma 120.00
loop_
_atom_site_label
_atom_site_fract_x
_atom_site_fract_y
_atom_site_fract_z
In1 0.0243 0.8351 0.3298
In2 0.0505 0.4549 0.8091
Sn1 0.0000 0.0000 0.0000
Bi1 0.0000 0.0000 0.5000
Bi2 0.0000 0.5000 0.5000
```

Peak list (10 most intense, 2θ = 15–90°, sorted by position)
hkl 0 2 1, d = 5.265 Å, rel. 22
hkl 2 0 2, d = 3.723 Å, rel. 56
hkl 1 3 1, d = 3.330 Å, rel. 100
hkl 3 2 1, d = 2.814 Å, rel. 35
hkl 2 2 3, d = 2.355 Å, rel. 77
hkl 6 0 0, d = 2.149 Å, rel. 62
hkl 2 1 4, d = 2.065 Å, rel. 52
hkl 6 -4 4, d = 1.665 Å, rel. 24
hkl 0 0 6, d = 1.520 Å, rel. 22
hkl 7 3 4, d = 1.224 Å, rel. 21



Theoretical X-ray diffraction stick pattern
Compound: InSnBi3
Radiation: copper Kα
Structure: a structure optimized by DFT (GGA-PBE)
No peak broadening, texture or thermal motion is included.

Structure:
```
data_InSnBi3
_symmetry_space_group_name_H-M 'A m a 2'
_symmetry_Int_Tables_number 40
_cell_length_a 11.9886
_cell_length_b 9.5792
_cell_length_c 6.1225
_cell_angle_alpha 90.00
_cell_angle_beta 90.00
_cell_angle_gamma 90.00
loop_
_symmetry_equiv_pos_as_xyz
'x,y,z'
'-x,-y,z'
'-x+1/2,y,z'
'x+1/2,-y,z'
'x,y+1/2,z+1/2'
'-x,-y+1/2,z+1/2'
'-x+1/2,y+1/2,z+1/2'
'x+1/2,-y+1/2,z+1/2'
loop_
_atom_site_label
_atom_site_fract_x
_atom_site_fract_y
_atom_site_fract_z
In1 0.2500 0.1930 0.0000
Sn1 0.0000 0.0000 0.1597
Bi1 0.0459 0.1611 0.6880
Bi2 0.2500 0.0215 0.4324
```

Peak list (10 most intense, 2θ = 15–90°, sorted by position)
hkl 1 2 0, d = 4.448 Å, rel. 33
hkl 2 1 1, d = 3.910 Å, rel. 37
hkl 3 1 1, d = 3.159 Å, rel. 52
hkl 4 0 0, d = 2.997 Å, rel. 42
hkl 0 3 1, d = 2.831 Å, rel. 61
hkl 2 0 2, d = 2.726 Å, rel. 98
hkl 2 3 1, d = 2.560 Å, rel. 100
hkl 3 2 2, d = 2.167 Å, rel. 29
hkl 5 2 0, d = 2.144 Å, rel. 23
hkl 4 3 1, d = 2.057 Å, rel. 26



Theoretical X-ray diffraction stick pattern
Compound: In6SnBi2
Radiation: copper Kα
Structure: a structure optimized by DFT (GGA-PBE)
No peak broadening, texture or thermal motion is included.

Structure:
```
data_In6SnBi2
_symmetry_space_group_name_H-M 'A m m 2'
_symmetry_Int_Tables_number 38
_cell_length_a 4.2439
_cell_length_b 16.0004
_cell_length_c 7.9714
_cell_angle_alpha 90.00
_cell_angle_beta 90.00
_cell_angle_gamma 90.00
loop_
_symmetry_equiv_pos_as_xyz
'x,y,z'
'-x,-y,z'
'-x,y,z'
'x,-y,z'
'x,y+1/2,z+1/2'
'-x,-y+1/2,z+1/2'
'-x,y+1/2,z+1/2'
'x,-y+1/2,z+1/2'
loop_
_atom_site_label
_atom_site_fract_x
_atom_site_fract_y
_atom_site_fract_z
In1 0.0000 0.0000 0.0000
In2 0.0000 0.1384 0.6200
In3 0.5000 0.0000 0.3271
In4 0.5000 0.2016 0.9171
Sn1 0.5000 0.0000 0.7226
Bi1 0.0000 0.1620 0.2253
```

Peak list (10 most intense, 2θ = 15–90°, sorted by position)
hkl 1 3 1, d = 3.066 Å, rel. 82
hkl 1 4 0, d = 2.908 Å, rel. 100
hkl 1 2 2, d = 2.731 Å, rel. 71
hkl 0 6 0, d = 2.667 Å, rel. 40
hkl 0 3 3, d = 2.378 Å, rel. 50
hkl 1 4 2, d = 2.351 Å, rel. 33
hkl 2 0 0, d = 2.122 Å, rel. 36
hkl 1 7 3, d = 1.605 Å, rel. 25
hkl 2 3 3, d = 1.583 Å, rel. 29
hkl 1 1 5, d = 1.486 Å, rel. 23